The following is a computed X-ray diffraction stick pattern of MgGe7Rh3. It was derived from a cell relaxed with PBE, using Cu Kα X-rays.
No peak broadening, texture or thermal motion is included.

Cell and atoms:
abc: 7.8593 7.8593 8.3374
angles: 118.25 118.25 59.93
Atoms (fractional coordinates):
Mg  0.0000  0.5000  0.0000
Mg  0.5000  0.0000  0.5000
Ge  0.0744  0.3495  0.5902
Ge  0.1504  0.8336  0.4098
Ge  0.1664  0.8496  0.0902
Ge  0.2496  0.7504  0.7500
Ge  0.3335  0.4262  0.4099
Ge  0.3495  0.0744  0.0902
Ge  0.4262  0.3335  0.9099
Ge  0.5738  0.6665  0.0901
Ge  0.6505  0.9256  0.9098
Ge  0.6665  0.5738  0.5901
Ge  0.7504  0.2496  0.2500
Ge  0.8336  0.1504  0.9098
Ge  0.8496  0.1664  0.5902
Ge  0.9256  0.6505  0.4098
Rh  0.0730  0.2500  0.2503
Rh  0.2500  0.0730  0.7503
Rh  0.4272  0.5728  0.2500
Rh  0.5728  0.4272  0.7500
Rh  0.7500  0.9270  0.2497
Rh  0.9270  0.7500  0.7497

Most intense lines, 2θ = 5–70°, by angle:
d [Å]	Position (°2θ)	Rel. int.
3.424	26.03	49.1
2.553	35.16	65.0
2.444	36.77	36.0
2.308	39.02	52.5
2.268	39.74	31.8
2.192	41.19	34.1
2.003	45.28	100.0
1.903	47.80	30.2
1.901	47.86	24.5
1.891	48.12	61.1

The following is a computed X-ray diffraction stick pattern of Ac4Sm5. It was derived from a cell relaxed with PBE, using Cu Kα X-rays.
No peak broadening, texture or thermal motion is included.

Cell and atoms:
abc: 9.9748 9.9748 9.9748
angles: 157.89 110.10 74.33
Atoms (fractional coordinates):
Ac  0.0058  0.8374  0.1684
Ac  0.3310  0.1626  0.1684
Ac  0.6690  0.8374  0.8316
Ac  0.9942  0.1626  0.8316
Sm  0.0000  0.5000  0.5000
Sm  0.3367  0.8367  0.5000
Sm  0.3433  0.5000  0.8433
Sm  0.6567  0.5000  0.1567
Sm  0.6633  0.1633  0.5000

Most intense lines, 2θ = 5–70°, by angle:
d [Å]	Position (°2θ)	Rel. int.
3.097	28.82	100.0
2.699	33.19	34.7
2.650	33.83	16.4
1.912	47.54	6.5
1.905	47.75	6.5
1.891	48.12	24.5
1.627	56.58	15.4
1.623	56.71	15.0
1.603	57.49	14.3
1.551	59.62	6.6

The following is a computed X-ray diffraction stick pattern of HgH2I2O. It was derived from a cell relaxed with PBE, using Cu Kα X-rays.
No peak broadening, texture or thermal motion is included.

Cell and atoms:
abc: 7.0401 7.0401 8.6480
angles: 90.00 90.00 98.51
Atoms (fractional coordinates):
Hg  0.1289  0.8711  0.5000
Hg  0.8711  0.1289  0.0000
H  0.0670  0.7642  0.1312
H  0.2358  0.9330  0.1312
H  0.7642  0.0670  0.6312
H  0.9330  0.2358  0.6312
I  0.1512  0.4230  0.0025
I  0.4230  0.1512  0.5025
I  0.5770  0.8488  0.0025
I  0.8488  0.5770  0.5025
O  0.1017  0.8983  0.1645
O  0.8983  0.1017  0.6645

Most intense lines, 2θ = 5–70°, by angle:
d [Å]	Position (°2θ)	Rel. int.
6.963	12.71	17.7
5.423	16.34	13.1
4.540	19.55	100.0
4.324	20.54	45.7
2.787	32.11	21.0
2.666	33.61	17.7
2.536	35.40	25.7
2.270	39.71	16.3
2.050	44.18	14.9
1.742	52.55	16.0

The following is a computed X-ray diffraction stick pattern of Cs3GePb. It was derived from a cell relaxed with PBE, using Cu Kα X-rays.
No peak broadening, texture or thermal motion is included.

Cell and atoms:
abc: 9.3499 8.0286 15.7012
angles: 90.00 92.92 90.00
Atoms (fractional coordinates):
Cs  0.0092  0.1809  0.3792
Cs  0.0092  0.8191  0.8792
Cs  0.2412  0.3672  0.6677
Cs  0.2412  0.6328  0.1677
Cs  0.3758  0.1935  0.9304
Cs  0.3758  0.8065  0.4304
Cs  0.6242  0.1935  0.5696
Cs  0.6242  0.8065  0.0696
Cs  0.7588  0.3672  0.8323
Cs  0.7588  0.6328  0.3323
Cs  0.9908  0.1809  0.1208
Cs  0.9908  0.8191  0.6208
Ge  0.3737  0.0629  0.2090
Ge  0.3737  0.9371  0.7090
Ge  0.6263  0.0629  0.2910
Ge  0.6263  0.9371  0.7910
Pb  0.4213  0.3150  0.3378
Pb  0.4213  0.6850  0.8378
Pb  0.5787  0.3150  0.1622
Pb  0.5787  0.6850  0.6622

Most intense lines, 2θ = 5–70°, by angle:
d [Å]	Position (°2θ)	Rel. int.
9.338	9.47	83.3
7.840	11.29	29.9
7.146	12.39	46.9
4.014	22.14	29.5
3.951	22.50	65.9
3.921	22.68	43.0
3.902	22.79	100.0
3.574	24.91	64.2
3.043	29.36	61.5
2.532	35.46	43.5

The following is a computed X-ray diffraction stick pattern of Sc2InC. It was derived from a cell relaxed with PBE, using Cu Kα X-rays.
No peak broadening, texture or thermal motion is included.

Cell and atoms:
abc: 3.3507 3.3507 7.9543
angles: 102.20 102.20 60.04
Atoms (fractional coordinates):
Sc  0.2198  0.2198  0.1590
Sc  0.7802  0.7802  0.8410
In  0.0000  0.0000  0.5000
C  0.5000  0.5000  0.0000

Most intense lines, 2θ = 5–70°, by angle:
d [Å]	Position (°2θ)	Rel. int.
7.714	11.47	31.9
3.857	23.06	21.1
2.880	31.05	54.4
2.594	34.58	100.0
2.571	34.89	33.3
2.459	36.54	74.4
2.049	44.21	22.8
1.809	50.44	21.4
1.676	54.78	31.0
1.404	66.62	27.9

The following is a computed X-ray diffraction stick pattern of GdDyRu4. It was derived from a cell relaxed with PBE, using Cu Kα X-rays.
No peak broadening, texture or thermal motion is included.

Cell and atoms:
abc: 5.3465 5.3465 5.3465
angles: 60.00 60.00 60.00
Atoms (fractional coordinates):
Gd  0.0000  0.0000  0.0000
Dy  0.7500  0.7500  0.7500
Ru  0.3751  0.3751  0.3751
Ru  0.3751  0.3751  0.8748
Ru  0.3751  0.8748  0.3751
Ru  0.8748  0.3751  0.3751

Most intense lines, 2θ = 5–70°, by angle:
d [Å]	Position (°2θ)	Rel. int.
2.673	33.52	42.3
2.280	39.53	100.0
2.183	41.37	27.0
1.890	48.14	0.7
1.543	59.93	16.0
1.455	63.98	31.9

The following is a computed X-ray diffraction stick pattern of Rb2MoS4. It was derived from a cell relaxed with PBE, using Cu Kα X-rays.
No peak broadening, texture or thermal motion is included.

Cell and atoms:
abc: 9.9607 7.1340 12.7154
angles: 90.00 90.00 90.00
Atoms (fractional coordinates):
Rb  0.0378  0.2500  0.1672
Rb  0.1533  0.7500  0.3941
Rb  0.3467  0.2500  0.8941
Rb  0.4622  0.7500  0.6672
Rb  0.5378  0.2500  0.3328
Rb  0.6533  0.7500  0.1059
Rb  0.8467  0.2500  0.6059
Rb  0.9622  0.7500  0.8328
Mo  0.2450  0.7500  0.0727
Mo  0.2550  0.2500  0.5727
Mo  0.7450  0.7500  0.4273
Mo  0.7550  0.2500  0.9273
S  0.0271  0.7500  0.1055
S  0.1620  0.0003  0.6431
S  0.1620  0.4997  0.6431
S  0.2158  0.2500  0.4021
S  0.2842  0.7500  0.9021
S  0.3380  0.9997  0.1431
S  0.3380  0.5003  0.1431
S  0.4729  0.2500  0.6055
S  0.5271  0.7500  0.3945
S  0.6620  0.0003  0.8569
S  0.6620  0.4997  0.8569
S  0.7158  0.2500  0.0979
S  0.7842  0.7500  0.5979
S  0.8380  0.9997  0.3569
S  0.8380  0.5003  0.3569
S  0.9729  0.2500  0.8945

Most intense lines, 2θ = 5–70°, by angle:
d [Å]	Position (°2θ)	Rel. int.
4.285	20.73	50.6
3.889	22.87	60.4
3.644	24.43	87.1
3.567	24.96	100.0
3.213	27.77	61.9
3.179	28.07	69.1
2.929	30.52	64.9
2.827	31.65	65.1
2.636	34.02	58.8
1.678	54.71	53.4

The following is a computed X-ray diffraction stick pattern of TlRh4. It was derived from a cell relaxed with PBE, using Cu Kα X-rays.
No peak broadening, texture or thermal motion is included.

Cell and atoms:
abc: 5.2699 5.2699 5.2699
angles: 50.39 50.39 50.39
Atoms (fractional coordinates):
Tl  0.0000  0.0000  0.0000
Rh  0.1948  0.1948  0.1948
Rh  0.4043  0.4043  0.4043
Rh  0.5957  0.5957  0.5957
Rh  0.8052  0.8052  0.8052

Most intense lines, 2θ = 5–70°, by angle:
d [Å]	Position (°2θ)	Rel. int.
4.589	19.34	1.1
3.740	23.79	4.5
3.384	26.34	4.9
2.577	34.82	1.3
2.245	40.17	100.0
1.870	48.70	1.0
1.755	52.12	1.7
1.604	57.45	1.3
1.587	58.11	16.7
1.436	64.92	0.9